Starting from a DFT-relaxed cell (PBE, Alexandria), the powder XRD pattern of Na2Li5Sb2 was simulated for Cu Kα (weighted mean of Kα1 and Kα2).

The 12 most intense peaks (15° ≤ 2θ ≤ 90°), low angle first:
d [Å], 2θ (°), I_rel
4.353, 20.40, 250
4.254, 20.88, 95
3.822, 23.27, 1000
3.042, 29.36, 269
2.456, 36.59, 383
2.397, 37.52, 389
2.139, 42.25, 225
2.066, 43.82, 185
1.715, 53.41, 138
1.629, 56.50, 101
1.581, 58.37, 155
1.406, 66.48, 140

Atomic structure:
```
data_Na2Li5Sb2
_symmetry_space_group_name_H-M 'A m m 2'
_symmetry_Int_Tables_number 38
_cell_length_a 8.706
_cell_length_b 4.909
_cell_length_c 8.512
_cell_angle_alpha 90.00
_cell_angle_beta 90.00
_cell_angle_gamma 90.00
loop_
_symmetry_equiv_pos_as_xyz
'x,y,z'
'-x,-y,z'
'-x,y,z'
'x,-y,z'
'x,y+1/2,z+1/2'
'-x,-y+1/2,z+1/2'
'-x,y+1/2,z+1/2'
'x,-y+1/2,z+1/2'
loop_
_atom_site_label
_atom_site_fract_x
_atom_site_fract_y
_atom_site_fract_z
_atom_site_occupancy
Na1 0.173 0.000 0.000 1
Li1 0.163 0.000 0.668 1
Li2 0.340 0.000 0.334 1
Li3 0.500 0.000 0.003 1
Sb1 0.000 0.000 0.332 1
Sb2 0.500 0.000 0.670 1
```

---

Starting from a DFT-relaxed cell (PBE, Alexandria), the powder XRD pattern of PmY2Ho was simulated for Cu Kα (weighted mean of Kα1 and Kα2).

The 12 most intense peaks (15° ≤ 2θ ≤ 90°), low angle first:
d [Å], 2θ (°), I_rel
3.072, 29.07, 390
2.893, 30.91, 478
2.847, 31.43, 1000
2.641, 33.94, 793
2.321, 38.80, 190
1.802, 50.66, 357
1.709, 53.63, 224
1.577, 58.54, 159
1.529, 60.54, 415
1.522, 60.84, 149
1.489, 62.38, 135
1.163, 83.04, 123

Atomic structure:
```
data_PmY2Ho
_symmetry_space_group_name_H-M 'C 1 m 1'
_symmetry_Int_Tables_number 8
_cell_length_a 6.240
_cell_length_b 3.605
_cell_length_c 11.755
_cell_angle_alpha 90.00
_cell_angle_beta 100.12
_cell_angle_gamma 90.00
loop_
_symmetry_equiv_pos_as_xyz
'x,y,z'
'x,-y,z'
'x+1/2,y+1/2,z'
'x+1/2,-y+1/2,z'
loop_
_atom_site_label
_atom_site_fract_x
_atom_site_fract_y
_atom_site_fract_z
_atom_site_occupancy
Pm1 0.000 0.000 0.000 1
Y1 0.167 0.000 0.501 1
Y2 0.251 0.500 0.252 1
Ho1 0.083 0.500 0.748 1
```

---

Starting from a DFT-relaxed cell (PBE, Alexandria), the powder XRD pattern of Pm2Bi2I was simulated for Cu Kα (weighted mean of Kα1 and Kα2).

The 12 most intense peaks (15° ≤ 2θ ≤ 90°), low angle first:
d [Å], 2θ (°), I_rel
3.653, 24.37, 407
3.158, 28.26, 324
3.104, 28.76, 436
3.030, 29.48, 1000
2.848, 31.41, 492
2.752, 32.54, 749
2.723, 32.89, 532
2.554, 35.13, 695
2.288, 39.38, 548
1.937, 46.92, 288
1.784, 51.21, 286
1.478, 62.87, 281

Atomic structure:
```
data_Pm2Bi2I
_symmetry_space_group_name_H-M 'P 1 21/m 1'
_symmetry_Int_Tables_number 11
_cell_length_a 6.395
_cell_length_b 4.577
_cell_length_c 12.127
_cell_angle_alpha 90.00
_cell_angle_beta 90.99
_cell_angle_gamma 90.00
loop_
_symmetry_equiv_pos_as_xyz
'x,y,z'
'-x,-y,-z'
'-x,y+1/2,-z'
'x,-y+1/2,z'
loop_
_atom_site_label
_atom_site_fract_x
_atom_site_fract_y
_atom_site_fract_z
_atom_site_occupancy
Pm1 0.059 0.250 0.188 1
Pm2 0.281 0.250 0.545 1
Bi1 0.185 0.750 0.365 1
Bi2 0.434 0.750 0.723 1
I1 0.248 0.750 0.030 1
```

---

Starting from a DFT-relaxed cell (PBE, Alexandria), the powder XRD pattern of BaDyMg17 was simulated for Cu Kα (weighted mean of Kα1 and Kα2).

The 12 most intense peaks (15° ≤ 2θ ≤ 90°), low angle first:
d [Å], 2θ (°), I_rel
5.852, 15.14, 221
5.208, 17.03, 429
3.653, 24.36, 804
3.117, 28.64, 193
3.007, 29.71, 505
2.604, 34.44, 545
2.594, 34.58, 1000
2.563, 35.01, 252
1.838, 49.61, 274
1.827, 49.92, 219
1.644, 55.92, 202
1.486, 62.52, 197

Atomic structure:
```
data_BaDyMg17
_symmetry_space_group_name_H-M 'R 3 m'
_symmetry_Int_Tables_number 160
_symmetry_space_group_name_Hall 'R 3 -2"'
_cell_length_a 10.4158
_cell_length_b 10.4158
_cell_length_c 15.3795
_cell_angle_alpha 90.00
_cell_angle_beta 90.00
_cell_angle_gamma 120.00
loop_
_atom_site_label
_atom_site_fract_x
_atom_site_fract_y
_atom_site_fract_z
_atom_site_occupancy
Ba1 0.0000 0.0000 0.0000 1
Dy1 0.0000 0.0000 0.6641 1
Mg1 0.0000 0.0000 0.2410 1
Mg2 0.0000 0.0000 0.4377 1
Mg3 0.0032 0.5016 0.8356 1
Mg4 0.0046 0.3012 0.3362 1
Mg5 0.0061 0.5030 0.1851 1
Mg6 0.0168 0.5084 0.4882 1
```

---

Starting from a DFT-relaxed cell (PBE, Alexandria), the powder XRD pattern of NdPa5Se6 was simulated for Cu Kα (weighted mean of Kα1 and Kα2).

The 12 most intense peaks (15° ≤ 2θ ≤ 90°), low angle first:
d [Å], 2θ (°), I_rel
3.464, 25.71, 107
3.317, 26.88, 191
3.264, 27.32, 92
2.891, 30.93, 1000
2.090, 43.28, 269
2.065, 43.84, 129
2.025, 44.75, 121
2.000, 45.34, 235
1.658, 55.40, 130
1.445, 64.46, 124
1.316, 71.72, 123
1.270, 74.72, 108

Atomic structure:
```
data_NdPa5Se6
_symmetry_space_group_name_H-M 'C 1 2/m 1'
_symmetry_Int_Tables_number 12
_cell_length_a 6.901
_cell_length_b 12.152
_cell_length_c 7.325
_cell_angle_alpha 90.00
_cell_angle_beta 108.92
_cell_angle_gamma 90.00
loop_
_symmetry_equiv_pos_as_xyz
'x,y,z'
'-x,-y,-z'
'-x,y,-z'
'x,-y,z'
'x+1/2,y+1/2,z'
'-x+1/2,-y+1/2,-z'
'-x+1/2,y+1/2,-z'
'x+1/2,-y+1/2,z'
loop_
_atom_site_label
_atom_site_fract_x
_atom_site_fract_y
_atom_site_fract_z
_atom_site_occupancy
Nd1 0.000 0.000 0.000 1
Pa1 0.000 0.162 0.500 1
Pa2 0.000 0.332 0.000 1
Pa3 0.000 0.500 0.500 1
Se1 0.243 0.500 0.247 1
Se2 0.246 0.331 0.746 1
```

---

Starting from a DFT-relaxed cell (PBE, Alexandria), the powder XRD pattern of BaMgPH was simulated for Cu Kα (weighted mean of Kα1 and Kα2).

The 12 most intense peaks (15° ≤ 2θ ≤ 90°), low angle first:
d [Å], 2θ (°), I_rel
5.044, 17.58, 124
3.841, 23.16, 361
3.056, 29.23, 1000
2.522, 35.60, 130
2.217, 40.69, 283
2.108, 42.90, 160
2.030, 44.64, 75
1.795, 50.88, 207
1.665, 55.15, 213
1.540, 60.07, 122
1.395, 67.09, 181
1.099, 89.12, 85

Atomic structure:
```
data_BaMgPH
_symmetry_space_group_name_H-M 'P 3 m 1'
_symmetry_Int_Tables_number 156
_cell_length_a 4.4348
_cell_length_b 4.4348
_cell_length_c 5.0439
_cell_angle_alpha 90.00
_cell_angle_beta 90.00
_cell_angle_gamma 120.00
loop_
_symmetry_equiv_pos_as_xyz
'x,y,z'
'-y,x-y,z'
'-x+y,-x,z'
'-y,-x,z'
'-x+y,y,z'
'x,x-y,z'
loop_
_atom_site_label
_atom_site_fract_x
_atom_site_fract_y
_atom_site_fract_z
_atom_site_occupancy
Ba1 0.0000 0.0000 0.0000 1
Mg1 0.6667 0.3333 0.5282 1
P1 0.3333 0.6667 0.4581 1
H1 0.6667 0.3333 0.9152 1
```

---

Starting from a DFT-relaxed cell (PBE, Alexandria), the powder XRD pattern of BaCuSnS3 was simulated for Cu Kα (weighted mean of Kα1 and Kα2).

The 12 most intense peaks (15° ≤ 2θ ≤ 90°), low angle first:
d [Å], 2θ (°), I_rel
4.172, 21.30, 440
3.743, 23.77, 1000
3.579, 24.88, 271
3.517, 25.33, 406
3.390, 26.29, 255
3.148, 28.35, 543
2.867, 31.19, 304
2.561, 35.04, 250
2.522, 35.59, 459
2.388, 37.68, 417
2.060, 43.95, 465
1.833, 49.73, 389

Atomic structure:
```
data_BaCuSnS3
_symmetry_space_group_name_H-M 'C 1 2/m 1'
_symmetry_Int_Tables_number 12
_cell_length_a 13.082
_cell_length_b 7.331
_cell_length_c 8.164
_cell_angle_alpha 90.00
_cell_angle_beta 118.75
_cell_angle_gamma 90.00
loop_
_symmetry_equiv_pos_as_xyz
'x,y,z'
'-x,-y,-z'
'-x,y,-z'
'x,-y,z'
'x+1/2,y+1/2,z'
'-x+1/2,-y+1/2,-z'
'-x+1/2,y+1/2,-z'
'x+1/2,-y+1/2,z'
loop_
_atom_site_label
_atom_site_fract_x
_atom_site_fract_y
_atom_site_fract_z
_atom_site_occupancy
Ba1 0.221 0.000 0.209 1
Cu1 0.000 0.191 0.500 1
Sn1 0.027 0.500 0.187 1
S1 0.081 0.233 0.798 1
S2 0.232 0.500 0.378 1
```

---

Starting from a DFT-relaxed cell (PBE, Alexandria), the powder XRD pattern of Sr3AlGe2 was simulated for Cu Kα (weighted mean of Kα1 and Kα2).

The 12 most intense peaks (15° ≤ 2θ ≤ 90°), low angle first:
d [Å], 2θ (°), I_rel
3.540, 25.16, 403
3.185, 28.02, 910
3.127, 28.54, 1000
3.061, 29.17, 541
3.035, 29.43, 490
2.974, 30.05, 744
2.770, 32.32, 544
2.433, 36.95, 257
2.394, 37.57, 521
2.233, 40.39, 267
2.224, 40.55, 570
1.391, 67.30, 316

Atomic structure:
```
data_Sr3AlGe2
_symmetry_space_group_name_H-M 'P n m a'
_symmetry_Int_Tables_number 62
_cell_length_a 12.589
_cell_length_b 4.449
_cell_length_c 13.190
_cell_angle_alpha 90.00
_cell_angle_beta 90.00
_cell_angle_gamma 90.00
loop_
_symmetry_equiv_pos_as_xyz
'x,y,z'
'-x,-y,-z'
'-x+1/2,-y,z+1/2'
'x+1/2,y,-z+1/2'
'x+1/2,-y+1/2,-z+1/2'
'-x+1/2,y+1/2,z+1/2'
'-x,y+1/2,-z'
'x,-y+1/2,z'
loop_
_atom_site_label
_atom_site_fract_x
_atom_site_fract_y
_atom_site_fract_z
_atom_site_occupancy
Sr1 0.073 0.250 0.115 1
Sr2 0.123 0.750 0.556 1
Sr3 0.188 0.250 0.802 1
Al1 0.140 0.250 0.359 1
Ge1 0.037 0.750 0.319 1
Ge2 0.198 0.750 0.981 1
```

---

Starting from a DFT-relaxed cell (PBE, Alexandria), the powder XRD pattern of TaAsSeBr2 was simulated for Cu Kα (weighted mean of Kα1 and Kα2).

The 12 most intense peaks (15° ≤ 2θ ≤ 90°), low angle first:
d [Å], 2θ (°), I_rel
5.214, 17.01, 732
5.037, 17.61, 358
3.687, 24.14, 287
3.623, 24.57, 584
2.975, 30.04, 242
2.607, 34.40, 1000
2.518, 35.65, 453
2.315, 38.90, 196
2.116, 42.73, 275
1.843, 49.44, 355
1.811, 50.38, 671
1.488, 62.43, 351

Atomic structure:
```
data_TaAsSeBr2
_symmetry_space_group_name_H-M 'P 4/m m m'
_symmetry_Int_Tables_number 123
_symmetry_space_group_name_Hall '-P 4 2'
_cell_length_a 5.214
_cell_length_b 5.214
_cell_length_c 5.037
_cell_angle_alpha 90.00
_cell_angle_beta 90.00
_cell_angle_gamma 90.00
loop_
_atom_site_label
_atom_site_fract_x
_atom_site_fract_y
_atom_site_fract_z
_atom_site_occupancy
Ta1 0.000 0.000 0.000 1
As1 0.500 0.500 0.500 1
Se1 0.000 0.000 0.500 1
Br1 0.000 0.500 0.000 1
```

---

Starting from a DFT-relaxed cell (PBE, Alexandria), the powder XRD pattern of PmY2ThSc was simulated for Cu Kα (weighted mean of Kα1 and Kα2).

The 12 most intense peaks (15° ≤ 2θ ≤ 90°), low angle first:
d [Å], 2θ (°), I_rel
4.799, 18.49, 119
3.433, 25.95, 123
3.099, 28.81, 240
3.081, 28.98, 115
2.848, 31.42, 381
2.722, 32.91, 1000
2.710, 33.05, 526
2.097, 43.15, 160
1.782, 51.26, 186
1.618, 56.91, 311
1.511, 61.37, 221
1.495, 62.08, 156

Atomic structure:
```
data_PmY2ThSc
_symmetry_space_group_name_H-M 'P 1 21/m 1'
_symmetry_Int_Tables_number 11
_cell_length_a 6.198
_cell_length_b 5.695
_cell_length_c 9.416
_cell_angle_alpha 90.00
_cell_angle_beta 108.85
_cell_angle_gamma 90.00
loop_
_symmetry_equiv_pos_as_xyz
'x,y,z'
'-x,-y,-z'
'-x,y+1/2,-z'
'x,-y+1/2,z'
loop_
_atom_site_label
_atom_site_fract_x
_atom_site_fract_y
_atom_site_fract_z
_atom_site_occupancy
Pm1 0.232 0.250 0.307 1
Y1 0.038 0.250 0.896 1
Y2 0.423 0.250 0.694 1
Th1 0.377 0.750 0.903 1
Sc1 0.162 0.750 0.509 1
```

---

Starting from a DFT-relaxed cell (PBE, Alexandria), the powder XRD pattern of Er6AgIr5 was simulated for Cu Kα (weighted mean of Kα1 and Kα2).

The 11 most intense peaks (15° ≤ 2θ ≤ 90°), low angle first:
d [Å], 2θ (°), I_rel
4.629, 19.17, 5
2.441, 36.82, 517
2.413, 37.27, 1000
1.726, 53.06, 182
1.687, 54.39, 84
1.404, 66.63, 366
1.388, 67.50, 176
1.220, 78.35, 58
1.206, 79.44, 112
1.092, 89.83, 43
1.091, 89.90, 43

Atomic structure:
```
data_Er6AgIr5
_symmetry_space_group_name_H-M 'I m m m'
_symmetry_Int_Tables_number 71
_symmetry_space_group_name_Hall '-I 2 2'
_cell_length_a 4.879
_cell_length_b 6.747
_cell_length_c 14.652
_cell_angle_alpha 90.00
_cell_angle_beta 90.00
_cell_angle_gamma 90.00
loop_
_atom_site_label
_atom_site_fract_x
_atom_site_fract_y
_atom_site_fract_z
_atom_site_occupancy
Er1 0.000 0.242 0.000 1
Er2 0.000 0.254 0.330 1
Ag1 0.000 0.000 0.500 1
Ir1 0.000 0.000 0.166 1
Ir2 0.000 0.500 0.164 1
Ir3 0.000 0.500 0.500 1
```

---

Starting from a DFT-relaxed cell (PBE, Alexandria), the powder XRD pattern of Tl3PdO3 was simulated for Cu Kα (weighted mean of Kα1 and Kα2).

The 12 most intense peaks (15° ≤ 2θ ≤ 90°), low angle first:
d [Å], 2θ (°), I_rel
4.094, 21.71, 50
3.171, 28.14, 24
2.895, 30.89, 1000
2.680, 33.43, 26
2.507, 35.82, 643
2.364, 38.07, 18
1.773, 51.55, 442
1.512, 61.32, 461
1.447, 64.36, 148
1.254, 75.90, 67
1.150, 84.16, 197
1.121, 86.88, 192

Atomic structure:
```
data_Tl3PdO3
_symmetry_space_group_name_H-M 'I 41 3 2'
_symmetry_Int_Tables_number 214
_symmetry_space_group_name_Hall 'I 4bd 2c 3'
_cell_length_a 10.028
_cell_length_b 10.028
_cell_length_c 10.028
_cell_angle_alpha 90.00
_cell_angle_beta 90.00
_cell_angle_gamma 90.00
loop_
_atom_site_label
_atom_site_fract_x
_atom_site_fract_y
_atom_site_fract_z
_atom_site_occupancy
Tl1 0.121 0.375 0.371 1
Pd1 0.125 0.125 0.125 1
O1 0.093 0.343 0.125 1
```